Na3Mn5O12: theoretical powder XRD pattern (CuKα), based on a structure optimized by DFT (GGA+U).
Kinematic intensities with the Lorentz-polarization factor, no thermal factor.

Top 10 peaks for 15° ≤ 2θ ≤ 90°, low angle first:
15.80 deg, intensity 100; 18.85 deg, intensity 14; 27.78 deg, intensity 11; 31.90 deg, intensity 9; 36.36 deg, intensity 10; 41.33 deg, intensity 24; 42.23 deg, intensity 44; 53.13 deg, intensity 12; 56.85 deg, intensity 11; 64.16 deg, intensity 11

Atomic structure:
abc: 5.0414 8.6477 5.8953
angles: 90.00 107.89 90.00
Fractional positions:
Na 0.0000 0.0000 0.0000
Na 0.5000 0.2030 0.0000
Na 0.5000 0.7970 0.0000
Mn 0.0000 0.1602 0.5000
Mn 0.0000 0.5000 0.5000
Mn 0.0000 0.8398 0.5000
Mn 0.5000 0.3261 0.5000
Mn 0.5000 0.6739 0.5000
O 0.1988 0.0000 0.6999
O 0.2315 0.3326 0.6770
O 0.2315 0.6674 0.6770
O 0.2495 0.1828 0.3096
O 0.2495 0.8172 0.3096
O 0.2700 0.5000 0.3291
O 0.7300 0.5000 0.6709
O 0.7505 0.1828 0.6904
O 0.7505 0.8172 0.6904
O 0.7685 0.3326 0.3230
O 0.7685 0.6674 0.3230
O 0.8012 0.0000 0.3001